La6In5Pb: calculated powder XRD pattern (Cu Ka), based on a structure optimized by DFT (PBE).
Lines closer than 0.1° are merged.

Structural model:
Cell: 8.878 8.878 7.907 Å, 90.00 90.00 143.20°
Element x y z (fractional)
La 0.000 0.000 0.250
La 0.000 0.000 0.750
La 0.334 0.666 0.247
La 0.334 0.666 0.753
La 0.666 0.334 0.247
La 0.666 0.334 0.753
In 0.166 0.834 0.000
In 0.170 0.830 0.500
In 0.500 0.500 0.000
In 0.830 0.170 0.500
In 0.834 0.166 0.000
Pb 0.500 0.500 0.500

The 6 most intense peaks (5° ≤ 2θ ≤ 70°), by angle:
Position (°2θ)	intensity
31.9	100
45.7	12
45.9	6
56.9	25
57.0	13
66.8	10